# 1
The following is a computed PXRD pattern of Be11Ag3. It was derived from a PBE-relaxed structure, using Cu Kα, 1.54184 Å.

Most intense lines, 10° ≤ 2θ ≤ 90°, by angle:
| d (Å) | I/Imax |
| --- | --- |
| 4.612 | 100 |
| 4.320 | 57 |
| 3.159 | 76 |
| 2.960 | 39 |
| 2.606 | 63 |
| 2.451 | 35 |
| 2.160 | 36 |
| 1.937 | 46 |
| 1.927 | 40 |
| 1.888 | 35 |

Atomic structure:
abc: 5.7477 5.7477 5.9300
angles: 118.55 118.55 66.69
Element x y z (fractional)
Be: 0.0000 0.0000 0.0000
Be: 0.0385 0.4182 0.3058
Be: 0.1877 0.7753 0.2536
Be: 0.3274 0.6781 0.9199
Be: 0.4182 0.0385 0.3058
Be: 0.5792 0.9318 0.7138
Be: 0.6262 0.6262 0.3054
Be: 0.6781 0.3274 0.9199
Be: 0.7426 0.7426 0.0501
Be: 0.7753 0.1877 0.2536
Be: 0.9318 0.5792 0.7138
Ag: 0.2795 0.2795 0.9766
Ag: 0.4943 0.4943 0.5563
Ag: 0.9345 0.9345 0.5559

---

# 2
The following is a computed PXRD pattern of ZnGePN. It was derived from a PBE-relaxed structure, using Cu Kα, 1.54184 Å.

Most intense lines, 10° ≤ 2θ ≤ 90°, by angle:
| d (Å) | I/Imax |
| --- | --- |
| 2.914 | 51 |
| 2.878 | 100 |
| 2.829 | 49 |
| 2.525 | 24 |
| 2.422 | 16 |
| 2.209 | 16 |
| 1.789 | 13 |
| 1.782 | 13 |
| 1.767 | 32 |
| 1.729 | 30 |

Atomic structure:
abc: 5.0508 5.0508 5.9264
angles: 114.00 114.00 90.19
Element x y z (fractional)
Zn: 0.1558 0.8442 0.5000
Zn: 0.8442 0.1558 0.0000
Ge: 0.4560 0.6567 0.0007
Ge: 0.6567 0.4560 0.5007
P: 0.0341 0.2875 0.7502
P: 0.2875 0.0341 0.2502
N: 0.5374 0.7545 0.7500
N: 0.7545 0.5374 0.2500

---

# 3
The following is a computed PXRD pattern of GdErFe2Si2. It was derived from a PBE-relaxed structure, using Cu Kα, 1.54184 Å.

Most intense lines, 10° ≤ 2θ ≤ 90°, by angle:
| d (Å) | I/Imax |
| --- | --- |
| 3.422 | 100 |
| 2.850 | 36 |
| 2.609 | 42 |
| 2.525 | 61 |
| 2.140 | 66 |
| 2.015 | 49 |
| 1.737 | 30 |
| 1.575 | 29 |
| 1.503 | 22 |
| 1.205 | 21 |

Atomic structure:
abc: 4.0305 4.0305 6.4797
angles: 90.00 90.00 90.00
Element x y z (fractional)
Gd: 0.0000 0.0000 0.0000
Er: 0.5000 0.5000 0.3679
Fe: 0.0000 0.5000 0.6764
Fe: 0.5000 0.0000 0.6764
Si: 0.0000 0.0000 0.4990
Si: 0.5000 0.5000 0.8574

---

# 4
The following is a computed PXRD pattern of Mg3Ni2Os2. It was derived from a PBE-relaxed structure, using Cu Kα, 1.54184 Å.

Most intense lines, 10° ≤ 2θ ≤ 90°, by angle:
| d (Å) | I/Imax |
| --- | --- |
| 7.070 | 100 |
| 3.633 | 11 |
| 3.483 | 11 |
| 2.783 | 21 |
| 2.153 | 40 |
| 2.129 | 44 |
| 2.039 | 28 |
| 1.709 | 10 |
| 1.514 | 13 |
| 1.234 | 13 |

Atomic structure:
abc: 7.4849 7.4849 7.4849
angles: 33.05 33.05 33.05
Element x y z (fractional)
Mg: 0.0000 0.0000 0.0000
Mg: 0.2584 0.2584 0.2584
Mg: 0.5187 0.5187 0.5187
Ni: 0.1250 0.1250 0.1250
Ni: 0.6463 0.6463 0.6463
Os: 0.3933 0.3933 0.3933
Os: 0.7600 0.7600 0.7600

---

# 5
The following is a computed PXRD pattern of KGdHgSe3. It was derived from a PBE-relaxed structure, using Cu Kα, 1.54184 Å.

Most intense lines, 10° ≤ 2θ ≤ 90°, by angle:
| d (Å) | I/Imax |
| --- | --- |
| 4.121 | 23 |
| 3.462 | 23 |
| 3.125 | 100 |
| 3.070 | 24 |
| 3.008 | 55 |
| 2.493 | 31 |
| 2.185 | 36 |
| 2.116 | 25 |
| 1.968 | 28 |
| 1.731 | 24 |

Atomic structure:
abc: 9.5025 9.5025 9.2698
angles: 102.76 102.76 25.74
Element x y z (fractional)
K: 0.1404 0.1404 0.0701
K: 0.8596 0.8596 0.9299
Gd: 0.1731 0.1731 0.5826
Gd: 0.8269 0.8269 0.4174
Hg: 0.4808 0.4808 0.2771
Hg: 0.5192 0.5192 0.7229
Se: 0.0000 0.0000 0.5000
Se: 0.3284 0.3284 0.2053
Se: 0.3309 0.3309 0.6320
Se: 0.5000 0.5000 0.0000
Se: 0.6691 0.6691 0.3680
Se: 0.6716 0.6716 0.7947

---

# 6
The following is a computed PXRD pattern of GdIrPb2O6. It was derived from a PBE-relaxed structure, using Cu Kα, 1.54184 Å.

Most intense lines, 10° ≤ 2θ ≤ 90°, by angle:
| d (Å) | I/Imax |
| --- | --- |
| 2.931 | 100 |
| 2.896 | 53 |
| 2.098 | 14 |
| 2.048 | 24 |
| 1.699 | 22 |
| 1.679 | 44 |
| 1.466 | 16 |
| 1.112 | 12 |
| 1.102 | 13 |
| 1.097 | 11 |

Atomic structure:
abc: 5.8642 5.8642 5.8642
angles: 120.80 120.80 88.61
Element x y z (fractional)
Gd: 0.0000 0.0000 0.0000
Ir: 0.5000 0.5000 0.0000
Pb: 0.2500 0.7500 0.5000
Pb: 0.7500 0.2500 0.5000
O: 0.2074 0.3297 0.5371
O: 0.2655 0.2655 0.0000
O: 0.3297 0.7926 0.1224
O: 0.6703 0.2074 0.8776
O: 0.7345 0.7345 0.0000
O: 0.7926 0.6703 0.4629